No. 1
# Ba2IrRuO6
Calculated powder X-ray diffraction pattern, copper Kα. Input: a structure optimized by DFT (GGA-PBE).

Main lines, in order of rising 2θ (2θ = 15–90°):
- 18.61°, d 4.767, rel. 23.7
- 27.88°, d 3.200, rel. 35.4
- 30.38°, d 2.942, rel. 21.2
- 30.68°, d 2.914, rel. 100.0
- 35.75°, d 2.512, rel. 29.4
- 41.93°, d 2.155, rel. 21.2

Structure:
Cell: 10.2230 10.2230 10.2230 Å, 33.13 33.13 33.13°
Sites, in units of the cell vectors:
Ba 0.1248 0.1248 0.1248
Ba 0.2888 0.2888 0.2888
Ba 0.7112 0.7112 0.7112
Ba 0.8752 0.8752 0.8752
Ir 0.0000 0.0000 0.0000
Ir 0.5000 0.5000 0.5000
Ru 0.4110 0.4110 0.4110
Ru 0.5890 0.5890 0.5890
O 0.1427 0.6114 0.6114
O 0.2031 0.2031 0.7144
O 0.2031 0.7144 0.2031
O 0.2856 0.7969 0.7969
O 0.3886 0.3886 0.8573
O 0.3886 0.8573 0.3886
O 0.6114 0.1427 0.6114
O 0.6114 0.6114 0.1427
O 0.7144 0.2031 0.2031
O 0.7969 0.2856 0.7969
O 0.7969 0.7969 0.2856
O 0.8573 0.3886 0.3886

=====

No. 2
# CdCoRh
Calculated powder X-ray diffraction pattern, copper Kα. Input: a structure optimized by DFT (GGA-PBE).

Main lines, in order of rising 2θ (2θ = 15–90°):
- 32.31°, d 2.771, rel. 16.1
- 39.85°, d 2.262, rel. 100.0
- 44.78°, d 2.024, rel. 37.4
- 68.82°, d 1.364, rel. 15.7
- 79.21°, d 1.209, rel. 24.8
- 85.94°, d 1.131, rel. 15.0

Structure:
Cell: 5.8981 5.8981 5.8981 Å, 151.92 151.92 40.13°
Sites, in units of the cell vectors:
Cd 0.0000 0.0000 0.0000
Co 0.6772 0.6772 0.0000
Rh 0.3130 0.3130 0.0000

=====

No. 3
# CrHgCl2
Calculated powder X-ray diffraction pattern, copper Kα. Input: a structure optimized by DFT (GGA-PBE).

Main lines, in order of rising 2θ (2θ = 15–90°):
- 19.13°, d 4.639, rel. 88.6
- 22.56°, d 3.941, rel. 65.3
- 25.04°, d 3.556, rel. 100.0
- 32.59°, d 2.747, rel. 74.4
- 34.79°, d 2.578, rel. 58.8
- 47.44°, d 1.916, rel. 57.3

Structure:
Cell: 4.1182 3.4094 9.3687 Å, 90.00 97.99 90.00°
Sites, in units of the cell vectors:
Cr 0.0000 0.0000 0.0000
Hg 0.5000 0.0000 0.5000
Cl 0.1358 0.5000 0.8453
Cl 0.8642 0.5000 0.1547

=====

No. 4
# NdMoRu
Calculated powder X-ray diffraction pattern, copper Kα. Input: a structure optimized by DFT (GGA-PBE).

Main lines, in order of rising 2θ (2θ = 15–90°):
- 18.09°, d 4.905, rel. 48.5
- 25.69°, d 3.468, rel. 36.0
- 32.43°, d 2.761, rel. 35.7
- 34.83°, d 2.576, rel. 100.0
- 36.64°, d 2.452, rel. 50.6
- 51.45°, d 1.776, rel. 27.7

Structure:
Cell: 6.9363 6.9363 6.0539 Å, 90.00 90.00 90.00°
Sites, in units of the cell vectors:
Nd 0.2437 0.2437 0.0000
Nd 0.2563 0.7437 0.2500
Nd 0.7437 0.2563 0.7500
Nd 0.7563 0.7563 0.5000
Mo 0.1932 0.8068 0.7500
Mo 0.3068 0.3068 0.5000
Mo 0.6932 0.6932 0.0000
Mo 0.8068 0.1932 0.2500
Ru 0.0547 0.0547 0.5000
Ru 0.4453 0.5547 0.7500
Ru 0.5547 0.4453 0.2500
Ru 0.9453 0.9453 0.0000

=====

> Which formula does entry 3 have?

CrHgCl2